[1]
IrAu: calculated PXRD pattern (Cu Kα), based on a cell relaxed with PBE.
No peak broadening, texture or thermal motion is included.

Crystal structure
Lattice parameters (Å, degrees): 2.7978 2.7978 4.7349 90.00 90.00 120.00
Positions (direct):
Ir: 0.0000 0.0000 0.0000
Au: 0.3333 0.6667 0.5000

Top 10 peaks for 15° ≤ 2θ ≤ 90°, low angle first:
2θ 37.10, rel. 23
2θ 38.01, rel. 29
2θ 41.88, rel. 100
2θ 54.16, rel. 16
2θ 66.88, rel. 17
2θ 71.31, rel. 21
2θ 79.04, rel. 3
2θ 79.60, rel. 21
2θ 81.27, rel. 3
2θ 82.12, rel. 15


[2]
Cu4Ag3: calculated PXRD pattern (Cu Kα), based on a cell relaxed with PBE.
No peak broadening, texture or thermal motion is included.

Crystal structure
Lattice parameters (Å, degrees): 13.0596 13.0596 13.0596 167.71 167.71 17.41
Positions (direct):
Cu: 0.0000 0.0000 0.0000
Cu: 0.1211 0.1211 0.0000
Cu: 0.5605 0.5605 0.0000
Cu: 0.8528 0.8528 0.0000
Ag: 0.2796 0.2796 0.0000
Ag: 0.4261 0.4261 0.0000
Ag: 0.6948 0.6948 0.0000

Top 10 peaks for 15° ≤ 2θ ≤ 90°, low angle first:
2θ 36.56, rel. 10
2θ 40.50, rel. 100
2θ 41.99, rel. 5
2θ 45.92, rel. 39
2θ 49.42, rel. 9
2θ 63.97, rel. 6
2θ 66.96, rel. 12
2θ 69.75, rel. 13
2θ 81.27, rel. 23
2θ 87.60, rel. 7


What did the first record say?
IrAu: calculated PXRD pattern (Cu Kα), based on a cell relaxed with PBE.
No peak broadening, texture or thermal motion is included.

Crystal structure
Lattice parameters (Å, degrees): 2.7978 2.7978 4.7349 90.00 90.00 120.00
Positions (direct):
Ir: 0.0000 0.0000 0.0000
Au: 0.3333 0.6667 0.5000

Top 10 peaks for 15° ≤ 2θ ≤ 90°, low angle first:
2θ 37.10, rel. 23
2θ 38.01, rel. 29
2θ 41.88, rel. 100
2θ 54.16, rel. 16
2θ 66.88, rel. 17
2θ 71.31, rel. 21
2θ 79.04, rel. 3
2θ 79.60, rel. 21
2θ 81.27, rel. 3
2θ 82.12, rel. 15